Theoretical X-ray powder pattern
Compound: Hf7Cu10
Radiation: λ = 1.5418 Å (Cu Kα)
Structure: DFT lattice parameters and positions (PBE)

Structure:
```
Hf7Cu10
1.0
6.3097 -4.6553 0.0000
6.3097 4.6553 0.0000
0.0000 0.0000 9.3456
Hf Cu
14 20
direct
0.0000 0.0000 0.0000
0.0103 0.4897 0.2500
0.1896 0.1896 0.5000
0.1895 0.8105 0.6913
0.3104 0.3104 0.0000
0.3105 0.6895 0.1913
0.4897 0.0103 0.7500
0.5000 0.5000 0.5000
0.5103 0.9897 0.2500
0.6895 0.3105 0.8087
0.6896 0.6896 0.0000
0.8105 0.1895 0.3087
0.8104 0.8104 0.5000
0.9897 0.5103 0.7500
0.0574 0.6500 0.9932
0.1043 0.8957 0.3971
0.1319 0.1594 0.7951
0.1500 0.5574 0.4932
0.1594 0.1319 0.2049
0.3406 0.3681 0.7049
0.3500 0.9426 0.9932
0.3681 0.3406 0.2951
0.3957 0.6043 0.8971
0.4426 0.8500 0.4932
0.5574 0.1500 0.5068
0.6043 0.3957 0.1029
0.6319 0.6594 0.7049
0.6500 0.0574 0.0068
0.6594 0.6319 0.2951
0.8406 0.8681 0.7951
0.8500 0.4426 0.5068
0.8681 0.8406 0.2049
0.8957 0.1043 0.6029
0.9426 0.3500 0.0068
```

The 10 most intense peaks (10° ≤ 2θ ≤ 80°), by intensity:
2θ (°)  d_spacing  intensity
37.2  2.415  100
39.5  2.280  92
27.0  3.298  35
38.5  2.336  27
38.7  2.328  24
55.7  1.649  18
34.3  2.613  18
41.7  2.166  16
62.0  1.496  15
46.6  1.949  14